This entry pairs a crystal structure of KBaHoI6 with its calculated XRD peak list. Radiation: Cu Ka. Structure: a GGA-PBE-relaxed structure.
Kinematic intensities with the Lorentz-polarization factor, no thermal factor.

Peak list (6 most intense, 10 to 90 degrees two-theta, by intensity)
Position (°2θ), d (Å), intensity, h k l
24.15, 3.685, 100.0, 1 1 2
31.95, 2.801, 54.2, 1 1 4
36.74, 2.446, 34.4, 3 0 0
42.10, 2.146, 24.8, 2 -1 6
16.94, 5.234, 21.0, 1 0 2
11.85, 7.467, 18.8, 0 0 2

Cell and atoms:
a b c (Å): 8.474 8.474 14.934
angles (deg): 90.00 90.00 120.00
Fractional coordinates of all 18 atoms:
K 0.000 0.000 0.000
K 0.000 0.000 0.500
Ba 0.333 0.667 0.250
Ba 0.667 0.333 0.750
Ho 0.333 0.667 0.750
Ho 0.667 0.333 0.250
I 0.039 0.379 0.631
I 0.039 0.660 0.869
I 0.340 0.379 0.869
I 0.340 0.961 0.631
I 0.379 0.039 0.131
I 0.379 0.340 0.369
I 0.621 0.660 0.631
I 0.621 0.961 0.869
I 0.660 0.039 0.369
I 0.660 0.621 0.131
I 0.961 0.340 0.131
I 0.961 0.621 0.369

This entry pairs a crystal structure of Ba2HoIO6 with its calculated XRD peak list. Radiation: Cu Ka. Structure: a GGA-PBE-relaxed structure.
Kinematic intensities with the Lorentz-polarization factor, no thermal factor.

Peak list (6 most intense, 10 to 90 degrees two-theta, by intensity)
Position (°2θ), d (Å), intensity, h k l
29.11, 3.067, 100.0, 2 0 0
51.61, 1.771, 41.1, 3 2 1
41.64, 2.169, 29.4, 2 0 2
83.35, 1.159, 21.6, 5 2 1
60.35, 1.534, 18.7, 4 0 0
68.38, 1.372, 18.1, 4 0 2

Cell and atoms:
a b c (Å): 6.135 8.676 6.135
angles (deg): 90.00 90.00 90.00
Fractional coordinates of all 20 atoms:
Ba 0.250 0.000 0.249
Ba 0.250 0.500 0.249
Ba 0.750 0.000 0.751
Ba 0.750 0.500 0.751
Ho 0.250 0.250 0.750
Ho 0.750 0.750 0.250
I 0.250 0.750 0.750
I 0.750 0.250 0.250
O 0.006 0.750 0.994
O 0.007 0.750 0.507
O 0.250 0.506 0.749
O 0.250 0.994 0.749
O 0.493 0.750 0.507
O 0.494 0.750 0.994
O 0.506 0.250 0.006
O 0.507 0.250 0.493
O 0.750 0.006 0.251
O 0.750 0.494 0.251
O 0.993 0.250 0.493
O 0.994 0.250 0.006